The following is a calculated powder X-ray diffraction pattern of VOsCl. It was derived from a structure optimized by DFT (GGA-PBE), using Cu Kα X-rays.
No peak broadening, texture or thermal motion is included.

Main lines, by intensity (15° ≤ 2θ ≤ 90°):
two_theta  I (rel.)
43.77  100.0
26.39  87.2
30.57  53.8
51.84  44.1
80.43  32.8
72.23  19.0
70.13  18.2
63.63  16.0
54.33  14.5
86.44  14.3

Structural model:
Lattice parameters (Å, degrees): 4.1361 4.1361 4.1361 60.00 60.00 60.00
Sites, in units of the cell vectors:
1 V 0.0000 0.0000 0.0000
2 Os 0.2500 0.2500 0.2500
3 Cl 0.7500 0.7500 0.7500

The following is a calculated powder X-ray diffraction pattern of PCl5. It was derived from a structure optimized by DFT (GGA-PBE), using Cu Kα X-rays.
No peak broadening, texture or thermal motion is included.

Main lines, by intensity (15° ≤ 2θ ≤ 90°):
two_theta  I (rel.)
17.37  100.0
31.23  91.7
18.20  67.1
28.96  46.5
29.90  29.5
35.22  27.6
45.16  22.9
55.62  22.6
43.17  19.2
60.00  17.7

Structural model:
Lattice parameters (Å, degrees): 9.7510 9.7510 7.5976 90.00 90.00 90.00
Sites, in units of the cell vectors:
1 P 0.2500 0.2500 0.1210
2 P 0.2500 0.7500 0.5000
3 P 0.7500 0.2500 0.5000
4 P 0.7500 0.7500 0.8790
5 Cl 0.0459 0.1618 0.1178
6 Cl 0.0931 0.7968 0.3506
7 Cl 0.1618 0.4541 0.1178
8 Cl 0.2032 0.5931 0.6494
9 Cl 0.2500 0.2500 0.4050
10 Cl 0.2500 0.2500 0.8316
11 Cl 0.2968 0.9069 0.6494
12 Cl 0.3382 0.0459 0.1178
13 Cl 0.4069 0.7032 0.3506
14 Cl 0.4541 0.3382 0.1178
15 Cl 0.5459 0.6618 0.8822
16 Cl 0.5931 0.2968 0.6494
17 Cl 0.6618 0.9541 0.8822
18 Cl 0.7032 0.0931 0.3506
19 Cl 0.7500 0.7500 0.1684
20 Cl 0.7500 0.7500 0.5950
21 Cl 0.7968 0.4069 0.3506
22 Cl 0.8382 0.5459 0.8822
23 Cl 0.9069 0.2032 0.6494
24 Cl 0.9541 0.8382 0.8822